[1]
Diffraction record for WS2N2O2. The powder XRD pattern is computed, not measured: it uses a PBE+U-relaxed structure and Cu Kα (λ = 1.5418 Å).
Kinematic intensities with the Lorentz-polarization factor, no thermal factor.

Structural model:
Lattice parameters (Å, degrees): 7.181 7.181 9.960 112.27 112.27 66.82
Atoms (fractional coordinates):
W  0.081  0.919  0.750
W  0.919  0.081  0.250
S  0.250  0.730  0.563
S  0.270  0.750  0.937
S  0.730  0.250  0.063
S  0.750  0.270  0.437
N  0.233  0.368  0.163
N  0.368  0.233  0.663
N  0.632  0.767  0.337
N  0.767  0.632  0.837
O  0.092  0.181  0.816
O  0.181  0.092  0.316
O  0.819  0.908  0.684
O  0.908  0.819  0.184

Principal peaks in the range 10 to 90 degrees two-theta, low angle first:
2θ = 13.93°, I = 100; 2θ = 14.79°, I = 32; 2θ = 16.60°, I = 60; 2θ = 19.25°, I = 22; 2θ = 19.35°, I = 23; 2θ = 20.01°, I = 22; 2θ = 21.10°, I = 39; 2θ = 24.65°, I = 22; 2θ = 25.00°, I = 19; 2θ = 26.47°, I = 26; 2θ = 27.46°, I = 38; 2θ = 30.27°, I = 19

=====

[2]
Diffraction record for TaWNO6. The powder XRD pattern is computed, not measured: it uses a PBE+U-relaxed structure and Cu Kα (λ = 1.5418 Å).
Kinematic intensities with the Lorentz-polarization factor, no thermal factor.

Structural model:
Lattice parameters (Å, degrees): 7.456 7.456 7.456 120.29 119.66 90.05
Atoms (fractional coordinates):
Ta  0.000  0.000  0.000
Ta  0.500  0.000  0.500
W  0.500  0.000  0.000
W  0.500  0.500  0.500
N  0.124  0.374  0.750
N  0.876  0.626  0.250
O  0.189  0.939  0.250
O  0.197  0.312  0.257
O  0.197  0.940  0.884
O  0.444  0.694  0.750
O  0.445  0.060  0.757
O  0.445  0.688  0.384
O  0.555  0.312  0.616
O  0.555  0.940  0.243
O  0.556  0.306  0.250
O  0.803  0.060  0.116
O  0.803  0.688  0.743
O  0.811  0.061  0.750

Principal peaks in the range 10 to 90 degrees two-theta, low angle first:
2θ = 14.55°, I = 100; 2θ = 28.01°, I = 29; 2θ = 28.12°, I = 30; 2θ = 29.24°, I = 31; 2θ = 29.43°, I = 30; 2θ = 34.01°, I = 19; 2θ = 44.53°, I = 8; 2θ = 44.70°, I = 7; 2θ = 48.86°, I = 18; 2θ = 57.84°, I = 9; 2θ = 58.14°, I = 14; 2θ = 81.68°, I = 7

=====

[3]
Diffraction record for V5N4O. The powder XRD pattern is computed, not measured: it uses a PBE+U-relaxed structure and Cu Kα (λ = 1.5418 Å).
Kinematic intensities with the Lorentz-polarization factor, no thermal factor.

Structural model:
Lattice parameters (Å, degrees): 5.300 5.300 5.300 99.41 99.41 132.30
Atoms (fractional coordinates):
V  0.000  0.000  0.000
V  0.193  0.610  0.803
V  0.390  0.193  0.584
V  0.610  0.807  0.416
V  0.807  0.390  0.197
N  0.102  0.299  0.401
N  0.299  0.898  0.196
N  0.701  0.102  0.804
N  0.898  0.701  0.599
O  0.500  0.500  0.000

Principal peaks in the range 10 to 90 degrees two-theta, low angle first:
2θ = 36.02°, I = 100; 2θ = 37.09°, I = 1; 2θ = 41.66°, I = 99; 2θ = 42.17°, I = 48; 2θ = 59.65°, I = 1; 2θ = 60.39°, I = 27; 2θ = 60.78°, I = 55; 2θ = 72.36°, I = 24; 2θ = 73.08°, I = 12; 2θ = 76.39°, I = 25; 2θ = 78.36°, I = 1

=====

[4]
Diffraction record for V5N4O. The powder XRD pattern is computed, not measured: it uses a PBE+U-relaxed structure and Cu Kα (λ = 1.5418 Å).
Kinematic intensities with the Lorentz-polarization factor, no thermal factor.

Structural model:
Lattice parameters (Å, degrees): 4.100 5.105 5.106 81.01 66.58 66.57
Atoms (fractional coordinates):
V  0.000  0.000  0.000
V  0.165  0.433  0.239
V  0.401  0.770  0.438
V  0.621  0.234  0.573
V  0.830  0.571  0.774
N  0.131  0.181  0.598
N  0.297  0.590  0.827
N  0.705  0.407  0.186
N  0.888  0.822  0.412
O  0.499  0.998  0.010

Principal peaks in the range 10 to 90 degrees two-theta, low angle first:
2θ = 37.37°, I = 52; 2θ = 37.52°, I = 50; 2θ = 43.18°, I = 100; 2θ = 44.18°, I = 50; 2θ = 54.65°, I = 7; 2θ = 54.84°, I = 7; 2θ = 62.71°, I = 24; 2θ = 63.35°, I = 26; 2θ = 63.53°, I = 14; 2θ = 63.72°, I = 13; 2θ = 75.29°, I = 10; 2θ = 79.70°, I = 11

=====

[5]
Diffraction record for W2NO6. The powder XRD pattern is computed, not measured: it uses a PBE+U-relaxed structure and Cu Kα (λ = 1.5418 Å).
Kinematic intensities with the Lorentz-polarization factor, no thermal factor.

Structural model:
Lattice parameters (Å, degrees): 7.373 7.373 7.373 60.00 60.00 60.00
Atoms (fractional coordinates):
W  0.000  0.000  0.000
W  0.000  0.000  0.500
W  0.000  0.500  0.000
W  0.500  0.000  0.000
N  0.375  0.375  0.375
N  0.625  0.625  0.625
O  0.058  0.058  0.692
O  0.058  0.692  0.058
O  0.058  0.692  0.692
O  0.308  0.308  0.942
O  0.308  0.942  0.308
O  0.308  0.942  0.942
O  0.692  0.058  0.058
O  0.692  0.058  0.692
O  0.692  0.692  0.058
O  0.942  0.308  0.308
O  0.942  0.308  0.942
O  0.942  0.942  0.308

Principal peaks in the range 10 to 90 degrees two-theta, low angle first:
2θ = 14.71°, I = 100; 2θ = 28.39°, I = 59; 2θ = 29.68°, I = 61; 2θ = 34.40°, I = 19; 2θ = 37.60°, I = 14; 2θ = 45.18°, I = 20; 2θ = 49.44°, I = 27; 2θ = 51.87°, I = 19; 2θ = 58.73°, I = 27; 2θ = 63.74°, I = 13; 2θ = 69.20°, I = 14; 2θ = 80.26°, I = 11